The following is a simulated powder XRD pattern of ScBi2MoO8. It was derived from the GGA+U geometry in Alexandria, using λ = 1.5418 Å (Cu Kα).
Lines closer than 0.1° are merged.

Structure:
a = 5.080 Å, b = 5.080 Å, c = 6.646 Å
α = 90.00°, β = 90.00°, γ = 90.64°
Element x y z (fractional)
Sc 0.000 0.000 0.000
Bi 0.500 0.500 0.250
Bi 0.500 0.500 0.750
Mo 0.000 0.000 0.500
O 0.177 0.823 0.273
O 0.177 0.823 0.727
O 0.270 0.270 0.500
O 0.293 0.293 0.000
O 0.707 0.707 0.000
O 0.730 0.730 0.500
O 0.823 0.177 0.273
O 0.823 0.177 0.727

Principal peaks in the range 15° ≤ 2θ ≤ 90°, low angle first:
- 17.5°, d = 5.080 Å, intensity 485
- 24.6°, d = 3.612 Å, intensity 636
- 24.9°, d = 3.572 Å, intensity 572
- 32.2°, d = 2.781 Å, intensity 1000
- 35.3°, d = 2.540 Å, intensity 307
- 36.9°, d = 2.433 Å, intensity 205
- 48.4°, d = 1.881 Å, intensity 441
- 48.7°, d = 1.870 Å, intensity 381
- 61.5°, d = 1.509 Å, intensity 343
- 84.0°, d = 1.153 Å, intensity 165